Diffraction record for KPrNb4O12. The PXRD pattern is theoretical, not measured: it uses the PBE geometry in Alexandria and Cu Kα.

Structure:
Lattice parameters (Å, degrees): 7.9542 5.7548 5.7548 86.89 90.00 90.00
Atoms (fractional coordinates):
K 0.0000 0.0000 0.0000
Pr 0.5000 0.4519 0.4519
Nb 0.2478 0.4912 0.9792
Nb 0.2478 0.9792 0.4912
Nb 0.7522 0.4912 0.9792
Nb 0.7522 0.9792 0.4912
O 0.0000 0.0112 0.5031
O 0.0000 0.5031 0.0112
O 0.2553 0.7835 0.7835
O 0.2628 0.2542 0.2542
O 0.2656 0.2951 0.7348
O 0.2656 0.7348 0.2951
O 0.5000 0.0295 0.5166
O 0.5000 0.5166 0.0295
O 0.7343 0.2951 0.7348
O 0.7343 0.7348 0.2951
O 0.7372 0.2542 0.2542
O 0.7447 0.7835 0.7835

Top 12 peaks for 15° ≤ 2θ ≤ 90°, by angle:
19.05 deg, I = 464; 21.27 deg, I = 226; 22.35 deg, I = 175; 22.47 deg, I = 168; 31.09 deg, I = 1000; 31.90 deg, I = 456; 43.31 deg, I = 166; 45.62 deg, I = 189; 45.86 deg, I = 178; 54.79 deg, I = 193; 56.26 deg, I = 199; 56.41 deg, I = 189